# 1
For PuB2H6, a structure optimized by DFT (PBE) gives the calculated XRD peak list in this record (λ = 1.5418 Å (Cu Kα)).

```
data_PuB2H6
_space_group_name_H-M_alt 'I b a m'
_space_group_IT_number 72
_space_group_name_Hall '-I 2 2c'
_cell_length_a 5.5326
_cell_length_b 6.9590
_cell_length_c 7.3203
_cell_angle_alpha 90.00
_cell_angle_beta 90.00
_cell_angle_gamma 90.00
loop_
_atom_site_label
_atom_site_type_symbol
_atom_site_fract_x
_atom_site_fract_y
_atom_site_fract_z
Pu1 Pu 0.0000 0.0000 0.2500
B1 B 0.2015 0.2680 0.0000
H1 H 0.1365 0.3403 0.1448
H2 H 0.2460 0.0963 0.0000
```

The 10 most intense peaks (10° ≤ 2θ ≤ 90°), low angle first:
2θ (°)  d_spacing  I/Imax
20.51  4.331  100
24.32  3.660  28
25.60  3.479  25
32.02  2.795  69
35.60  2.522  30
40.89  2.207  20
41.71  2.165  19
42.25  2.139  17
48.87  1.864  20
49.34  1.847  21



# 2
For AcCrS, a structure optimized by DFT (PBE) gives the calculated XRD peak list in this record (λ = 1.5418 Å (Cu Kα)).

```
data_AcCrS
_space_group_name_H-M_alt 'I m a 2'
_space_group_IT_number 46
_cell_length_a 7.5282
_cell_length_b 12.0101
_cell_length_c 9.0645
_cell_angle_alpha 90.00
_cell_angle_beta 90.00
_cell_angle_gamma 90.00
loop_
_space_group_symop_operation_xyz
'x,y,z'
'-x,-y,z'
'-x+1/2,y,z'
'x+1/2,-y,z'
'x+1/2,y+1/2,z+1/2'
'-x+1/2,-y+1/2,z+1/2'
'-x,y+1/2,z+1/2'
'x,-y+1/2,z+1/2'
loop_
_atom_site_label
_atom_site_type_symbol
_atom_site_fract_x
_atom_site_fract_y
_atom_site_fract_z
Ac1 Ac 0.2500 0.0008 0.0000
Ac2 Ac 0.2500 0.1930 0.6203
Ac3 Ac 0.2500 0.7065 0.1245
Cr1 Cr 0.0000 0.0000 0.4814
Cr2 Cr 0.0885 0.1099 0.3148
S1 S 0.0078 0.1980 0.8876
S2 S 0.2500 0.5615 0.8340
```

The 10 most intense peaks (10° ≤ 2θ ≤ 90°), low angle first:
2θ (°)  d_spacing  I/Imax
23.64  3.764  47
24.30  3.662  70
24.61  3.618  54
30.51  2.930  27
30.88  2.896  55
34.16  2.625  100
34.38  2.608  52
38.95  2.312  28
42.64  2.120  32
54.56  1.682  35



# 3
For K4TlF5, a structure optimized by DFT (PBE) gives the calculated XRD peak list in this record (λ = 1.5418 Å (Cu Kα)).

```
data_K4TlF5
_space_group_name_H-M_alt 'I 4'
_space_group_IT_number 79
_cell_length_a 8.6532
_cell_length_b 8.6532
_cell_length_c 5.4736
_cell_angle_alpha 90.00
_cell_angle_beta 90.00
_cell_angle_gamma 90.00
loop_
_space_group_symop_operation_xyz
'x,y,z'
'-y,x,z'
'-x,-y,z'
'y,-x,z'
'x+1/2,y+1/2,z+1/2'
'-y+1/2,x+1/2,z+1/2'
'-x+1/2,-y+1/2,z+1/2'
'y+1/2,-x+1/2,z+1/2'
loop_
_atom_site_label
_atom_site_type_symbol
_atom_site_fract_x
_atom_site_fract_y
_atom_site_fract_z
K1 K 0.1023 0.6988 0.0000
Tl1 Tl 0.0000 0.0000 0.5009
F1 F 0.0000 0.0000 0.0063
F2 F 0.1033 0.6928 0.4997
```

The 10 most intense peaks (10° ≤ 2θ ≤ 90°), low angle first:
2θ (°)  d_spacing  I/Imax
14.48  6.119  46
19.19  4.626  50
20.53  4.327  22
28.24  3.160  79
32.73  2.737  100
46.96  1.935  71
55.70  1.650  34
58.41  1.580  23
78.09  1.224  27
87.27  1.117  20



# 4
For LiCaH2SeF, a structure optimized by DFT (PBE) gives the calculated XRD peak list in this record (λ = 1.5418 Å (Cu Kα)).

```
data_LiCaH2SeF
_space_group_name_H-M_alt 'R 3 m'
_space_group_IT_number 160
_space_group_name_Hall 'R 3 -2"'
_cell_length_a 4.3574
_cell_length_b 4.3574
_cell_length_c 19.6056
_cell_angle_alpha 90.00
_cell_angle_beta 90.00
_cell_angle_gamma 120.00
loop_
_atom_site_label
_atom_site_type_symbol
_atom_site_fract_x
_atom_site_fract_y
_atom_site_fract_z
Li1 Li 0.0000 0.0000 0.0000
Ca1 Ca 0.0000 0.0000 0.1985
H1 H 0.0000 0.0000 0.7911
H2 H 0.0000 0.0000 0.8298
Se1 Se 0.0000 0.0000 0.6048
F1 F 0.0000 0.0000 0.0912
```

The 10 most intense peaks (10° ≤ 2θ ≤ 90°), low angle first:
2θ (°)  d_spacing  I/Imax
13.55  6.535  59
25.29  3.522  100
29.88  2.990  21
32.94  2.719  43
40.09  2.249  18
41.45  2.179  42
43.80  2.067  18
44.06  2.055  18
49.17  1.853  15
52.61  1.740  17



# 5
For Dy3AlSn, a structure optimized by DFT (PBE) gives the calculated XRD peak list in this record (λ = 1.5418 Å (Cu Kα)).

```
data_Dy3AlSn
_space_group_name_H-M_alt 'I m m a'
_space_group_IT_number 74
_space_group_name_Hall '-I 2b 2'
_cell_length_a 5.8665
_cell_length_b 10.9079
_cell_length_c 8.4309
_cell_angle_alpha 90.00
_cell_angle_beta 90.00
_cell_angle_gamma 90.00
loop_
_atom_site_label
_atom_site_type_symbol
_atom_site_fract_x
_atom_site_fract_y
_atom_site_fract_z
Dy1 Dy 0.0000 0.1042 0.1266
Dy2 Dy 0.2500 0.2500 0.7500
Al1 Al 0.0000 0.2500 0.4273
Sn1 Sn 0.0000 0.0000 0.5000
```

The 10 most intense peaks (10° ≤ 2θ ≤ 90°), low angle first:
2θ (°)  d_spacing  I/Imax
26.71  3.338  100
27.30  3.266  29
32.91  2.721  30
33.37  2.685  55
34.73  2.583  29
35.42  2.535  31
36.03  2.492  47
37.92  2.373  47
51.58  1.772  19
55.06  1.668  26



# 6
For HoEr2B6, a structure optimized by DFT (PBE) gives the calculated XRD peak list in this record (λ = 1.5418 Å (Cu Kα)).

```
data_HoEr2B6
_space_group_name_H-M_alt 'P 6/m m m'
_space_group_IT_number 191
_space_group_name_Hall '-P 6 2'
_cell_length_a 5.6654
_cell_length_b 5.6654
_cell_length_c 3.8270
_cell_angle_alpha 90.00
_cell_angle_beta 90.00
_cell_angle_gamma 120.00
loop_
_atom_site_label
_atom_site_type_symbol
_atom_site_fract_x
_atom_site_fract_y
_atom_site_fract_z
Ho1 Ho 0.0000 0.0000 0.0000
Er1 Er 0.3333 0.6667 0.0000
B1 B 0.0000 0.3339 0.5000
```

The 10 most intense peaks (10° ≤ 2θ ≤ 90°), low angle first:
2θ (°)  d_spacing  I/Imax
23.24  3.827  47
31.58  2.833  75
39.58  2.277  100
47.52  1.913  11
56.25  1.635  19
58.18  1.586  28
61.68  1.504  21
70.95  1.328  18
76.65  1.243  16
83.02  1.163  12